Entry 1:
Theoretical X-ray diffraction stick pattern
Compound: AgH7Pt4
Radiation: Cu Kα
Structure: a PBE-relaxed structure

Cell and atoms:
```
data_AgH7Pt4
_chemical_formula_sum 'Ag2 H14 Pt8'
_symmetry_space_group_name_H-M 'P m n 21'
_symmetry_Int_Tables_number 31
_cell_length_a 10.3485
_cell_length_b 5.0232
_cell_length_c 4.9107
_cell_angle_alpha 90.00
_cell_angle_beta 90.00
_cell_angle_gamma 90.00
loop_
_symmetry_equiv_pos_as_xyz
'x,y,z'
'-x+1/2,-y,z+1/2'
'-x,y,z'
'x+1/2,-y,z+1/2'
loop_
_atom_site_label
_atom_site_fract_x
_atom_site_fract_y
_atom_site_fract_z
Ag1 0.0000 0.1434 0.0000
H1 0.0000 0.6242 0.6512
H2 0.1059 0.6540 0.2137
H3 0.1717 0.3586 0.6936
H4 0.2165 0.1871 0.2036
Pt1 0.1360 0.6478 0.8583
Pt2 0.2177 0.8640 0.3601
```

Largest 10 diffraction maxima, by angle, 5 to 70 degrees two-theta:
17.14 deg, d = 5.174 Å, I 48, (2 0 0)
19.64 deg, d = 4.519 Å, I 24, (1 1 0)
20.01 deg, d = 4.437 Å, I 53, (1 0 1)
31.46 deg, d = 2.844 Å, I 66, (3 1 0)
36.55 deg, d = 2.458 Å, I 100, (0 0 2)
39.17 deg, d = 2.300 Å, I 31, (4 1 0)
40.33 deg, d = 2.236 Å, I 89, (0 2 1)
40.67 deg, d = 2.218 Å, I 25, (2 0 2)
43.45 deg, d = 2.083 Å, I 66, (4 1 1)
49.02 deg, d = 1.858 Å, I 26, (3 1 2)


Entry 2:
Theoretical X-ray diffraction stick pattern
Compound: AgHPt
Radiation: Cu Kα
Structure: a PBE-relaxed structure

Cell and atoms:
```
data_AgHPt
_chemical_formula_sum 'Ag16 H16 Pt16'
_symmetry_space_group_name_H-M 'P n a 21'
_symmetry_Int_Tables_number 33
_cell_length_a 10.2608
_cell_length_b 5.8165
_cell_length_c 9.9966
_cell_angle_alpha 90.00
_cell_angle_beta 90.00
_cell_angle_gamma 90.00
loop_
_symmetry_equiv_pos_as_xyz
'x,y,z'
'-x,-y,z+1/2'
'-x+1/2,y+1/2,z+1/2'
'x+1/2,-y+1/2,z'
loop_
_atom_site_label
_atom_site_fract_x
_atom_site_fract_y
_atom_site_fract_z
Ag1 0.0108 0.2479 0.0000
Ag2 0.0694 0.0022 0.7373
Ag3 0.1823 0.2474 0.2345
Ag4 0.2368 0.5043 0.4948
H1 0.0787 0.5634 0.3127
H2 0.0935 0.0737 0.4277
H3 0.0968 0.7143 0.8524
H4 0.2022 0.3604 0.8550
Pt1 0.0184 0.7447 0.0051
Pt2 0.0706 0.4903 0.7329
Pt3 0.1847 0.7528 0.2361
Pt4 0.2423 0.0085 0.5020
```

Largest 10 diffraction maxima, by angle, 5 to 70 degrees two-theta:
35.93 deg, d = 2.499 Å, I 48, (0 0 4)
36.15 deg, d = 2.485 Å, I 25, (4 0 1)
36.64 deg, d = 2.453 Å, I 29, (2 2 1)
39.48 deg, d = 2.282 Å, I 23, (4 0 2)
39.94 deg, d = 2.257 Å, I 100, (2 2 2)
44.58 deg, d = 2.033 Å, I 17, (4 0 3)
44.99 deg, d = 2.015 Å, I 14, (2 2 3)
63.06 deg, d = 1.474 Å, I 14, (6 2 0)
64.03 deg, d = 1.454 Å, I 9, (0 4 0)
67.29 deg, d = 1.391 Å, I 19, (2 2 6)


Entry 3:
Theoretical X-ray diffraction stick pattern
Compound: AgH2Pt
Radiation: Cu Kα
Structure: a PBE-relaxed structure

Cell and atoms:
```
data_AgH2Pt
_chemical_formula_sum 'Ag2 H4 Pt2'
_symmetry_space_group_name_H-M 'P -1'
_symmetry_Int_Tables_number 2
_cell_length_a 3.4373
_cell_length_b 4.7575
_cell_length_c 5.5629
_cell_angle_alpha 84.51
_cell_angle_beta 72.01
_cell_angle_gamma 89.63
loop_
_symmetry_equiv_pos_as_xyz
'x,y,z'
'-x,-y,-z'
loop_
_atom_site_label
_atom_site_fract_x
_atom_site_fract_y
_atom_site_fract_z
Ag1 0.1451 0.0331 0.2113
H1 0.1168 0.5633 0.2654
H2 0.4976 0.2851 0.5090
Pt1 0.3613 0.4788 0.7779
```

Largest 10 diffraction maxima, by angle, 5 to 70 degrees two-theta:
18.74 deg, d = 4.734 Å, I 35, (0 1 0)
32.73 deg, d = 2.736 Å, I 73, (1 1 1)
32.92 deg, d = 2.721 Å, I 72, (1 -1 0)
34.06 deg, d = 2.633 Å, I 100, (0 0 2)
38.01 deg, d = 2.367 Å, I 78, (0 2 0)
40.11 deg, d = 2.248 Å, I 49, (1 1 2)
40.25 deg, d = 2.240 Å, I 48, (-1 1 1)
42.53 deg, d = 2.125 Å, I 57, (1 1 -1)
42.72 deg, d = 2.117 Å, I 56, (1 -1 2)
49.16 deg, d = 1.853 Å, I 42, (0 2 2)